# 1
Structure and simulated X-ray powder pattern of CeCuGe2Au (a crystal structure in Alexandria, relaxed with GGA-PBE; λ = 1.5418 Å (Cu Kα)).
Intensities are scaled so that the largest is 100.

Peak list (8 most intense, 2θ from 5° to 70°, by angle)
2theta  Rel. int.
22.47  27
32.90  42
34.20  100
42.38  48
45.55  19
47.89  19
54.67  20
61.49  16

Structural model:
Lattice parameters (Å, degrees): 6.101 6.101 6.101 139.08 139.08 59.25
Sites, in units of the cell vectors:
Ce 0.000 0.000 0.000
Cu 0.750 0.250 0.500
Ge 0.384 0.384 0.000
Ge 0.616 0.616 0.000
Au 0.250 0.750 0.500

# 2
Structure and simulated X-ray powder pattern of LaCe2Cu2Au2 (a crystal structure in Alexandria, relaxed with GGA-PBE; λ = 1.5418 Å (Cu Kα)).
Intensities are scaled so that the largest is 100.

Peak list (8 most intense, 2θ from 5° to 70°, by angle)
2theta  Rel. int.
23.50  22
33.16  91
35.86  53
39.42  100
52.43  25
54.34  16
67.53  23
68.11  21

Structural model:
Lattice parameters (Å, degrees): 9.017 9.017 9.017 29.37 29.37 29.37
Sites, in units of the cell vectors:
La 0.000 0.000 0.000
Ce 0.139 0.139 0.139
Ce 0.861 0.861 0.861
Cu 0.419 0.419 0.419
Cu 0.581 0.581 0.581
Au 0.261 0.261 0.261
Au 0.739 0.739 0.739

# 3
Structure and simulated X-ray powder pattern of CeZnCuAu (a crystal structure in Alexandria, relaxed with GGA-PBE; λ = 1.5418 Å (Cu Kα)).
Intensities are scaled so that the largest is 100.

Peak list (8 most intense, 2θ from 5° to 70°, by angle)
2theta  Rel. int.
22.66  22
26.22  2
37.42  100
44.19  12
53.95  17
59.25  5
60.95  1
67.50  35

Structural model:
Lattice parameters (Å, degrees): 4.807 4.807 4.807 60.00 60.00 60.00
Sites, in units of the cell vectors:
Ce 0.000 0.000 0.000
Zn 0.500 0.500 0.500
Cu 0.250 0.250 0.250
Au 0.750 0.750 0.750

# 4
Structure and simulated X-ray powder pattern of Ce2Zn3Cu12Au (a crystal structure in Alexandria, relaxed with GGA-PBE; λ = 1.5418 Å (Cu Kα)).
Intensities are scaled so that the largest is 100.

Peak list (8 most intense, 2θ from 5° to 70°, by angle)
2theta  Rel. int.
30.23  100
33.70  35
35.02  46
35.71  26
40.71  56
42.95  65
51.54  39
58.94  51

Structural model:
Lattice parameters (Å, degrees): 9.610 9.610 9.610 38.07 38.07 38.07
Sites, in units of the cell vectors:
Ce 0.145 0.145 0.145
Ce 0.855 0.855 0.855
Zn 0.000 0.500 0.500
Zn 0.500 0.000 0.500
Zn 0.500 0.500 0.000
Cu 0.077 0.609 0.609
Cu 0.082 0.082 0.701
Cu 0.082 0.701 0.082
Cu 0.299 0.918 0.918
Cu 0.391 0.391 0.923
Cu 0.391 0.923 0.391
Cu 0.609 0.077 0.609
Cu 0.609 0.609 0.077
Cu 0.701 0.082 0.082
Cu 0.918 0.299 0.918
Cu 0.918 0.918 0.299
Cu 0.923 0.391 0.391
Au 0.500 0.500 0.500

# 5
Structure and simulated X-ray powder pattern of CeDy5Au6 (a crystal structure in Alexandria, relaxed with GGA-PBE; λ = 1.5418 Å (Cu Kα)).
Intensities are scaled so that the largest is 100.

Peak list (8 most intense, 2θ from 5° to 70°, by angle)
2theta  Rel. int.
34.88  25
35.02  25
35.13  100
50.26  18
50.79  9
62.70  19
62.89  19
63.14  18

Structural model:
Lattice parameters (Å, degrees): 8.891 8.891 8.891 146.50 132.29 59.54
Sites, in units of the cell vectors:
Ce 0.000 0.000 0.000
Dy 0.165 0.665 0.500
Dy 0.332 0.332 0.000
Dy 0.500 0.000 0.500
Dy 0.668 0.668 0.000
Dy 0.835 0.335 0.500
Au 0.086 0.829 0.257
Au 0.264 0.500 0.764
Au 0.427 0.171 0.257
Au 0.573 0.829 0.743
Au 0.736 0.500 0.236
Au 0.914 0.171 0.743

# 6
Structure and simulated X-ray powder pattern of Ce2DyAu3 (a crystal structure in Alexandria, relaxed with GGA-PBE; λ = 1.5418 Å (Cu Kα)).
Intensities are scaled so that the largest is 100.

Peak list (8 most intense, 2θ from 5° to 70°, by angle)
2theta  Rel. int.
7.81  2
24.69  3
34.41  100
35.19  48
48.25  9
50.62  17
61.12  18
62.65  36

Structural model:
Lattice parameters (Å, degrees): 3.606 3.606 11.316 90.00 90.00 90.00
Sites, in units of the cell vectors:
Ce 0.000 0.000 0.170
Ce 0.000 0.000 0.830
Dy 0.000 0.000 0.500
Au 0.500 0.500 0.000
Au 0.500 0.500 0.348
Au 0.500 0.500 0.652

# 7
Structure and simulated X-ray powder pattern of CeErGa2Au5 (a crystal structure in Alexandria, relaxed with GGA-PBE; λ = 1.5418 Å (Cu Kα)).
Intensities are scaled so that the largest is 100.

Peak list (8 most intense, 2θ from 5° to 70°, by angle)
2theta  Rel. int.
34.09  100
37.06  7
37.92  50
41.82  7
42.71  11
54.70  17
58.42  18
66.05  30

Structural model:
Lattice parameters (Å, degrees): 4.746 4.746 8.468 90.00 90.00 90.00
Sites, in units of the cell vectors:
Ce 0.000 0.000 0.000
Er 0.000 0.000 0.500
Ga 0.500 0.500 0.354
Ga 0.500 0.500 0.646
Au 0.000 0.500 0.241
Au 0.000 0.500 0.759
Au 0.500 0.000 0.241
Au 0.500 0.000 0.759
Au 0.500 0.500 0.000

# 8
Structure and simulated X-ray powder pattern of Ce6Fe2Au (a crystal structure in Alexandria, relaxed with GGA-PBE; λ = 1.5418 Å (Cu Kα)).
Intensities are scaled so that the largest is 100.

Peak list (8 most intense, 2θ from 5° to 70°, by angle)
2theta  Rel. int.
30.05  73
31.76  35
33.28  100
33.64  66
34.50  32
35.30  83
43.47  33
69.28  27

Structural model:
Lattice parameters (Å, degrees): 5.444 5.444 8.547 97.54 97.54 55.68
Sites, in units of the cell vectors:
Ce 0.048 0.048 0.361
Ce 0.311 0.311 0.884
Ce 0.386 0.386 0.338
Ce 0.614 0.614 0.662
Ce 0.689 0.689 0.116
Ce 0.952 0.952 0.639
Fe 0.274 0.274 0.631
Fe 0.726 0.726 0.369
Au 0.000 0.000 0.000

# 9
Structure and simulated X-ray powder pattern of Ce3Ga2Au7 (a crystal structure in Alexandria, relaxed with GGA-PBE; λ = 1.5418 Å (Cu Kα)).
Intensities are scaled so that the largest is 100.

Peak list (8 most intense, 2θ from 5° to 70°, by angle)
2theta  Rel. int.
6.05  36
30.17  39
32.02  46
34.69  39
34.92  100
38.65  34
42.24  74
65.25  26

Structural model:
Lattice parameters (Å, degrees): 14.913 14.913 14.913 163.50 163.50 23.41
Sites, in units of the cell vectors:
Ce 0.000 0.000 0.000
Ce 0.174 0.174 0.000
Ce 0.826 0.826 0.000
Ga 0.368 0.368 0.000
Ga 0.632 0.632 0.000
Au 0.080 0.580 0.500
Au 0.278 0.278 0.000
Au 0.420 0.920 0.500
Au 0.500 0.500 0.000
Au 0.580 0.080 0.500
Au 0.722 0.722 0.000
Au 0.920 0.420 0.500

# 10
Structure and simulated X-ray powder pattern of CeGaAu (a crystal structure in Alexandria, relaxed with GGA-PBE; λ = 1.5418 Å (Cu Kα)).
Intensities are scaled so that the largest is 100.

Peak list (8 most intense, 2θ from 5° to 70°, by angle)
2theta  Rel. int.
22.34  13
32.26  8
33.40  100
39.14  23
39.35  42
52.42  18
65.55  11
67.28  9

Structural model:
Lattice parameters (Å, degrees): 5.848 5.848 5.848 133.65 103.09 94.78
Sites, in units of the cell vectors:
Ce 0.000 0.000 0.000
Ce 0.554 0.054 0.500
Ga 0.390 0.693 0.697
Ga 0.996 0.693 0.303
Au 0.137 0.362 0.775
Au 0.586 0.362 0.225

# 11
Structure and simulated X-ray powder pattern of Ce2Ga6Au (a crystal structure in Alexandria, relaxed with GGA-PBE; λ = 1.5418 Å (Cu Kα)).
Intensities are scaled so that the largest is 100.

Peak list (8 most intense, 2θ from 5° to 70°, by angle)
2theta  Rel. int.
26.33  32
27.87  74
33.68  72
37.57  100
41.98  25
47.42  35
54.19  34
57.59  39

Structural model:
Lattice parameters (Å, degrees): 4.788 4.788 8.608 90.00 90.00 90.00
Sites, in units of the cell vectors:
Ce 0.000 0.000 0.244
Ce 0.000 0.000 0.756
Ga 0.000 0.500 0.000
Ga 0.000 0.500 0.500
Ga 0.500 0.000 0.000
Ga 0.500 0.000 0.500
Ga 0.500 0.500 0.184
Ga 0.500 0.500 0.816
Au 0.500 0.500 0.500

# 12
Structure and simulated X-ray powder pattern of CeGa2Au4 (a crystal structure in Alexandria, relaxed with GGA-PBE; λ = 1.5418 Å (Cu Kα)).
Intensities are scaled so that the largest is 100.

Peak list (8 most intense, 2θ from 5° to 70°, by angle)
2theta  Rel. int.
27.85  22
33.16  19
34.32  100
34.46  44
35.99  28
39.14  48
45.08  21
67.86  20

Structural model:
Lattice parameters (Å, degrees): 17.817 4.604 6.794 90.00 90.00 90.00
Sites, in units of the cell vectors:
Ce 0.136 0.250 0.010
Ce 0.364 0.750 0.510
Ce 0.636 0.250 0.490
Ce 0.864 0.750 0.990
Ga 0.037 0.750 0.222
Ga 0.221 0.250 0.532
Ga 0.279 0.750 0.032
Ga 0.463 0.250 0.722
Ga 0.537 0.750 0.278
Ga 0.721 0.250 0.968
Ga 0.779 0.750 0.468
Ga 0.963 0.250 0.778
Au 0.036 0.750 0.800
Au 0.075 0.250 0.514
Au 0.177 0.750 0.315
Au 0.194 0.750 0.730
Au 0.306 0.250 0.230
Au 0.323 0.250 0.815
Au 0.425 0.750 0.014
Au 0.464 0.250 0.300
Au 0.536 0.750 0.700
Au 0.575 0.250 0.986
Au 0.677 0.750 0.185
Au 0.694 0.750 0.770
Au 0.806 0.250 0.270
Au 0.823 0.250 0.685
Au 0.925 0.750 0.486
Au 0.964 0.250 0.200